For Mn2VTe5, a cell relaxed with GGA-PBE gives the theoretical XRD peak list in this record (Cu Kα X-rays).
Neutral-atom scattering factors, no anomalous dispersion.

Peak list (10 most intense, 15 to 90 degrees two-theta, by angle)
d_spacing  I/Imax  (hkl)
3.353  57  1 1 3
3.026  38  0 2 4
2.987  100  1 3 1
2.591  69  2 0 0
2.572  99  1 3 3
2.385  34  0 0 6
2.222  38  0 4 4
1.755  27  2 0 6
1.699  25  1 3 7
1.687  32  2 4 4

Cell and atoms:
abc: 5.182 11.340 14.312
angles: 90.00 90.00 90.00
Space group Fmmm (No. 69)
One atom of each set of equivalent atoms:
Mn 0.000 0.000 0.198 (multiplicity 8)
V 0.000 0.000 0.500 (multiplicity 4)
Te 0.000 0.000 0.000 (multiplicity 4)
Te 0.000 0.151 0.350 (multiplicity 16)